1.
Starting from DFT lattice parameters and positions (GGA-PBE), the powder diffraction line list of Al7Pd3 was computed for λ = 1.5418 Å (Cu Kα).
Kinematic intensities with the Lorentz-polarization factor, no thermal factor.

Structure:
a = 9.716 Å, b = 9.716 Å, c = 9.716 Å
α = 100.11°, β = 100.11°, γ = 130.45°
Fractional coordinates of all 40 atoms:
Al 0.002 0.662 0.664
Al 0.010 0.865 0.500
Al 0.113 0.121 0.234
Al 0.121 0.887 0.008
Al 0.135 0.635 0.145
Al 0.162 0.502 0.664
Al 0.250 0.250 0.000
Al 0.250 0.750 0.500
Al 0.338 0.002 0.339
Al 0.365 0.510 0.500
Al 0.379 0.387 0.766
Al 0.387 0.621 0.008
Al 0.490 0.990 0.855
Al 0.498 0.162 0.661
Al 0.502 0.838 0.339
Al 0.510 0.010 0.145
Al 0.613 0.379 0.992
Al 0.621 0.613 0.234
Al 0.635 0.490 0.500
Al 0.662 0.998 0.661
Al 0.750 0.250 0.500
Al 0.750 0.750 0.000
Al 0.838 0.498 0.336
Al 0.865 0.365 0.855
Al 0.879 0.113 0.992
Al 0.887 0.879 0.766
Al 0.990 0.135 0.500
Al 0.998 0.338 0.336
Pd 0.043 0.250 0.793
Pd 0.201 0.701 0.902
Pd 0.250 0.043 0.793
Pd 0.250 0.457 0.207
Pd 0.299 0.201 0.500
Pd 0.457 0.250 0.207
Pd 0.543 0.750 0.793
Pd 0.701 0.799 0.500
Pd 0.750 0.543 0.793
Pd 0.750 0.957 0.207
Pd 0.799 0.299 0.098
Pd 0.957 0.750 0.207

Principal peaks in the range 10° ≤ 2θ ≤ 80°, in order of rising 2θ:
2theta, Rel. int.
28.62, 42
29.86, 100
30.40, 54
31.55, 43
36.28, 53
37.73, 63
42.24, 44
43.13, 88
44.51, 47
56.16, 41



2.
Starting from DFT lattice parameters and positions (GGA-PBE), the powder diffraction line list of Sc2Ag2Ge was computed for λ = 1.5418 Å (Cu Kα).
Kinematic intensities with the Lorentz-polarization factor, no thermal factor.

Structure:
a = 7.196 Å, b = 7.196 Å, c = 7.196 Å
α = 149.05°, β = 149.05°, γ = 44.33°
Fractional coordinates of all 5 atoms:
Sc 0.096 0.096 0.000
Sc 0.904 0.904 0.000
Ag 0.250 0.750 0.500
Ag 0.750 0.250 0.500
Ge 0.500 0.500 0.000

Principal peaks in the range 10° ≤ 2θ ≤ 80°, in order of rising 2θ:
2theta, Rel. int.
13.29, 33
26.76, 26
30.78, 13
35.71, 100
41.23, 16
42.97, 24
47.35, 30
53.28, 14
55.19, 20
75.60, 14



3.
Starting from DFT lattice parameters and positions (GGA-PBE), the powder diffraction line list of Nd4GaSbS9 was computed for λ = 1.5418 Å (Cu Kα).
Kinematic intensities with the Lorentz-polarization factor, no thermal factor.

Structure:
a = 13.838 Å, b = 10.158 Å, c = 10.158 Å
α = 88.84°, β = 90.00°, γ = 90.00°
Fractional coordinates of all 60 atoms:
Nd 0.100 0.174 0.826
Nd 0.105 0.663 0.440
Nd 0.182 0.449 0.116
Nd 0.186 0.902 0.119
Nd 0.314 0.402 0.619
Nd 0.318 0.949 0.616
Nd 0.395 0.163 0.940
Nd 0.400 0.674 0.326
Nd 0.600 0.326 0.674
Nd 0.605 0.940 0.163
Nd 0.682 0.616 0.949
Nd 0.686 0.619 0.402
Nd 0.814 0.119 0.902
Nd 0.818 0.116 0.449
Nd 0.895 0.440 0.663
Nd 0.900 0.826 0.174
Ga 0.092 0.167 0.376
Ga 0.408 0.667 0.876
Ga 0.592 0.876 0.667
Ga 0.908 0.376 0.167
Sb 0.113 0.655 0.815
Sb 0.387 0.155 0.315
Sb 0.613 0.315 0.155
Sb 0.887 0.815 0.655
S 0.000 0.360 0.360
S 0.000 0.997 0.997
S 0.006 0.373 0.985
S 0.069 0.678 0.171
S 0.080 0.839 0.657
S 0.100 0.474 0.655
S 0.189 0.171 0.563
S 0.200 0.173 0.200
S 0.247 0.850 0.381
S 0.247 0.989 0.871
S 0.253 0.350 0.881
S 0.253 0.489 0.371
S 0.300 0.673 0.700
S 0.311 0.671 0.063
S 0.400 0.974 0.155
S 0.420 0.339 0.157
S 0.431 0.178 0.671
S 0.494 0.873 0.485
S 0.500 0.497 0.497
S 0.500 0.860 0.860
S 0.506 0.485 0.873
S 0.569 0.671 0.178
S 0.580 0.157 0.339
S 0.600 0.155 0.974
S 0.689 0.063 0.671
S 0.700 0.700 0.673
S 0.747 0.371 0.489
S 0.747 0.881 0.350
S 0.753 0.381 0.850
S 0.753 0.871 0.989
S 0.800 0.200 0.173
S 0.811 0.563 0.171
S 0.900 0.655 0.474
S 0.920 0.657 0.839
S 0.931 0.171 0.678
S 0.994 0.985 0.373

Principal peaks in the range 10° ≤ 2θ ≤ 80°, in order of rising 2θ:
2theta, Rel. int.
24.54, 63
25.05, 29
26.10, 100
29.37, 29
32.78, 53
33.56, 31
35.35, 43
35.92, 53
46.19, 31
49.47, 52



4.
Starting from DFT lattice parameters and positions (GGA-PBE), the powder diffraction line list of Li4ZnSiPd2 was computed for λ = 1.5418 Å (Cu Kα).
Kinematic intensities with the Lorentz-polarization factor, no thermal factor.

Structure:
a = 4.263 Å, b = 4.263 Å, c = 5.944 Å
α = 90.00°, β = 90.00°, γ = 90.00°
Fractional coordinates of all 8 atoms:
Li 0.000 0.000 0.000
Li 0.000 0.500 0.250
Li 0.500 0.000 0.750
Li 0.500 0.500 0.500
Zn 0.000 0.000 0.500
Si 0.500 0.500 0.000
Pd 0.000 0.500 0.774
Pd 0.500 0.000 0.226

Principal peaks in the range 10° ≤ 2θ ≤ 80°, in order of rising 2θ:
2theta, Rel. int.
25.72, 100
29.64, 9
42.41, 29
42.73, 54
50.26, 31
50.81, 13
61.53, 9
68.27, 10
77.80, 18
78.46, 7



5.
Starting from DFT lattice parameters and positions (GGA-PBE), the powder diffraction line list of NbHgAsO was computed for λ = 1.5418 Å (Cu Kα).
Kinematic intensities with the Lorentz-polarization factor, no thermal factor.

Structure:
a = 3.558 Å, b = 6.997 Å, c = 7.260 Å
α = 90.00°, β = 90.00°, γ = 90.00°
Fractional coordinates of all 8 atoms:
Nb 0.000 0.094 0.000
Nb 0.000 0.906 0.500
Hg 0.500 0.276 0.546
Hg 0.500 0.724 0.046
As 0.500 0.342 0.953
As 0.500 0.658 0.453
O 0.000 0.033 0.261
O 0.000 0.967 0.761

Principal peaks in the range 10° ≤ 2θ ≤ 80°, in order of rising 2θ:
2theta, Rel. int.
17.60, 43
24.52, 100
25.46, 25
28.13, 42
30.76, 87
35.64, 26
36.00, 55
40.63, 42
44.04, 43
47.24, 41



> What is the formula in the fourth record?

Li4ZnSiPd2